Calculated X-ray powder pattern
Compound: LiV6O7F5
Radiation: Cu Kα (weighted mean of Kα1 and Kα2)
Structure: DFT lattice parameters and positions (PBE+U)
Neutral-atom scattering factors, no anomalous dispersion.

Principal peaks in the range 2θ from 10° to 80°, sorted by position:
h k l, 2θ/deg, d_spacing, Rel. int.
1 1 1, 24.9, 3.578, 100
-1 1 1, 27.2, 3.278, 99
0 0 3, 34.8, 2.579, 31
0 2 -1, 35.0, 2.561, 28
1 2 -1, 38.8, 2.323, 30
1 1 4, 50.8, 1.798, 20
1 3 0, 51.0, 1.790, 30
0 2 -4, 60.6, 1.527, 20

Crystal structure
```
LiV6O7F5
1.0
4.9373 0.0000 0.0000
0.4353 5.6307 0.0000
0.3831 0.7189 7.7372
Li V O F
1 6 7 5
direct
0.0000 0.0000 0.0000
0.0060 0.9848 0.5151
0.0625 0.3755 0.1853
0.4799 0.5092 0.5155
0.4993 0.8230 0.1809
0.5027 0.1704 0.8376
0.9458 0.6158 0.8235
0.1640 0.6778 0.6004
0.1691 0.3310 0.9355
0.1736 0.0358 0.2669
0.3474 0.5334 0.2765
0.6573 0.4584 0.7386
0.8256 0.9667 0.7558
0.8376 0.6581 0.0790
0.3182 0.1802 0.5986
0.3374 0.8505 0.9387
0.6685 0.1409 0.0821
0.6769 0.8162 0.4218
0.8249 0.3182 0.4242
```